Calculated powder X-ray diffraction pattern of CdP2 for Cu Ka, from a DFT-relaxed cell (PBE, the Materials Project).

Structural model:
a b c (Å): 5.3639 5.3639 20.0125
angles (deg): 90.00 90.00 90.00
Space group P4_32_12 (No. 96)
Inequivalent atoms, fractional coordinates:
Cd 0.1265 0.3471 0.2015 [8 per cell]
P 0.0205 0.0242 0.6259 [8 per cell]
P 0.1925 0.7142 0.4345 [8 per cell]

Peak list (10 most intense, 2θ from 15° to 90°, in order of rising 2θ)
d (Å)  Rel. int.
3.727  35
3.659  100
3.547  86
3.208  24
3.022  22
2.658  27
2.333  36
1.947  47
1.863  21
1.684  22

Calculated powder X-ray diffraction pattern of Ce2SnS5 for Cu Ka, from a DFT-relaxed cell (PBE, the Materials Project).

Structural model:
a b c (Å): 7.6860 11.1991 4.0120
angles (deg): 90.00 90.00 90.00
Space group Pbam (No. 55)
Inequivalent atoms, fractional coordinates:
Ce 0.0693 0.1682 0.0000 [4 per cell]
Sn 0.0000 0.5000 0.5000 [2 per cell]
S 0.0000 0.0000 0.5000 [2 per cell]
S 0.1511 0.7069 0.5000 [4 per cell]
S 0.1921 0.4245 0.0000 [4 per cell]

Peak list (10 most intense, 2θ from 15° to 90°, in order of rising 2θ)
d (Å)  Rel. int.
3.843  48
3.390  83
3.358  100
3.261  38
2.694  81
2.575  38
2.487  79
2.296  41
2.006  38
1.895  44